Diffraction record for Tc2NiHg. The X-ray powder pattern is computed, not measured: it uses DFT lattice parameters and positions (GGA-PBE) and Cu Kα (weighted mean of Kα1 and Kα2).
Neutral-atom scattering factors, no anomalous dispersion.

Largest 11 diffraction maxima, sorted by position, 10 to 90 degrees two-theta:
2θ/deg  Rel. int.
24.68  12
28.57  11
40.84  100
48.30  7
50.60  3
59.14  17
65.06  3
66.97  4
74.37  33
79.74  2
88.51  11

Structural model:
```
data_Tc2NiHg
_chemical_formula_sum 'Tc8 Ni4 Hg4'
_cell_length_a 6.2489
_cell_length_b 6.2489
_cell_length_c 6.2489
_cell_angle_alpha 90.00
_cell_angle_beta 90.00
_cell_angle_gamma 90.00
_symmetry_space_group_name_H-M 'P 1'
_symmetry_Int_Tables_number 1
loop_
_symmetry_equiv_pos_as_xyz
'x,y,z'
loop_
_atom_site_label
_atom_site_fract_x
_atom_site_fract_y
_atom_site_fract_z
Tc1 0.0000 0.0000 0.0000
Tc2 0.0000 0.5000 0.5000
Tc3 0.2500 0.2500 0.2500
Tc4 0.2500 0.7500 0.7500
Tc5 0.5000 0.0000 0.5000
Tc6 0.5000 0.5000 0.0000
Tc7 0.7500 0.2500 0.7500
Tc8 0.7500 0.7500 0.2500
Ni1 0.0000 0.0000 0.5000
Ni2 0.0000 0.5000 0.0000
Ni3 0.5000 0.0000 0.0000
Ni4 0.5000 0.5000 0.5000
Hg1 0.2500 0.2500 0.7500
Hg2 0.2500 0.7500 0.2500
Hg3 0.7500 0.2500 0.2500
Hg4 0.7500 0.7500 0.7500
```